# Na2P2H4N2O5
Theoretical PXRD pattern, Cu Kα, 1.54184 Å. Input: a structure optimized by DFT (GGA-PBE).
Lines closer than 0.1° are merged.

The 10 most intense peaks (2θ = 10–80°), low angle first:
d [Å]	I/Imax
4.947	100.0
4.211	60.5
4.189	53.4
3.608	41.6
3.534	40.9
3.371	26.1
3.084	29.1
2.738	35.1
2.716	25.5
2.316	28.2

Crystal structure
a b c (Å): 11.525 11.525 15.819
angles (deg): 132.70 132.70 26.08
Sites, in units of the cell vectors:
Na (0.064, 0.744, 0.896)
Na (0.177, 0.330, 0.902)
Na (0.256, 0.936, 0.604)
Na (0.330, 0.177, 0.402)
Na (0.670, 0.823, 0.598)
Na (0.744, 0.064, 0.396)
Na (0.823, 0.670, 0.098)
Na (0.936, 0.256, 0.104)
P (0.279, 0.613, 0.579)
P (0.342, 0.421, 0.688)
P (0.387, 0.721, 0.921)
P (0.421, 0.342, 0.188)
P (0.579, 0.658, 0.812)
P (0.613, 0.279, 0.079)
P (0.658, 0.579, 0.312)
P (0.721, 0.387, 0.421)
H (0.044, 0.169, 0.368)
H (0.110, 0.546, 0.349)
H (0.135, 0.365, 0.710)
H (0.169, 0.044, 0.868)
H (0.260, 0.714, 0.345)
H (0.286, 0.740, 0.155)
H (0.365, 0.135, 0.210)
H (0.454, 0.890, 0.151)
H (0.546, 0.110, 0.849)
H (0.635, 0.865, 0.790)
H (0.714, 0.260, 0.845)
H (0.740, 0.286, 0.655)
H (0.831, 0.956, 0.132)
H (0.865, 0.635, 0.290)
H (0.890, 0.454, 0.651)
H (0.956, 0.831, 0.632)
N (0.157, 0.646, 0.629)
N (0.354, 0.843, 0.871)
N (0.440, 0.509, 0.324)
N (0.491, 0.560, 0.176)
N (0.509, 0.440, 0.824)
N (0.560, 0.491, 0.676)
N (0.646, 0.157, 0.129)
N (0.843, 0.354, 0.371)
O (0.061, 0.895, 0.574)
O (0.066, 0.346, 0.709)
O (0.105, 0.939, 0.926)
O (0.139, 0.554, 0.118)
O (0.140, 0.517, 0.699)
O (0.346, 0.066, 0.209)
O (0.372, 0.397, 0.466)
O (0.397, 0.372, 0.966)
O (0.446, 0.861, 0.382)
O (0.483, 0.860, 0.801)
O (0.517, 0.140, 0.199)
O (0.554, 0.139, 0.618)
O (0.603, 0.628, 0.034)
O (0.628, 0.603, 0.534)
O (0.654, 0.934, 0.791)
O (0.860, 0.483, 0.301)
O (0.861, 0.446, 0.882)
O (0.895, 0.061, 0.074)
O (0.934, 0.654, 0.291)
O (0.939, 0.105, 0.426)